The following is a theoretical powder X-ray diffraction pattern of Rb2NiTeI6. It was derived from a cell relaxed with PBE, using copper Kα.
Peak positions follow from Bragg's law for the DFT cell and can differ from measured ones.

Structure:
Unit cell a=8.2550 b=8.2550 c=11.6660 alpha=90.00 beta=90.00 gamma=90.00
Space group I4/mmm (No. 139)
Symmetry-distinct sites (fractional):
Rb1 0.0000 0.5000 0.2500 (multiplicity 4)
Ni1 0.0000 0.0000 0.0000 (multiplicity 2)
Te1 0.0000 0.0000 0.5000 (multiplicity 2)
I1 0.0000 0.0000 0.2336 (multiplicity 4)
I2 0.2320 0.2320 0.0000 (multiplicity 8)

Main lines, by intensity (2θ = 10–80°):
d (Å)	I (rel.)	hkl
2.918	1000	0 0 4
3.369	847	2 0 2
2.063	701	2 2 4
5.836	346	1 1 0
1.760	335	2 0 6
1.305	273	2 2 8
1.685	234	4 0 4
2.610	153	1 1 4
1.339	118	4 2 6
1.459	104	0 0 8

The following is a theoretical powder X-ray diffraction pattern of Pu3GeB2Pd8. It was derived from a cell relaxed with PBE, using copper Kα.
Peak positions follow from Bragg's law for the DFT cell and can differ from measured ones.

Structure:
Unit cell a=5.5066 b=5.5066 c=9.6225 alpha=90.00 beta=90.00 gamma=120.00
Space group P-3m1 (No. 164)
Symmetry-distinct sites (fractional):
Pu1 0.0000 0.0000 0.0000 (multiplicity 1)
Pu2 0.3333 0.6667 0.6324 (multiplicity 2)
Ge1 0.0000 0.0000 0.5000 (multiplicity 1)
B1 0.3333 0.6667 0.3760 (multiplicity 2)
Pd1 0.1657 0.3314 0.2411 (multiplicity 6)
Pd2 0.3333 0.6667 0.9567 (multiplicity 2)

Main lines, by intensity (2θ = 10–80°):
d (Å)	I (rel.)	hkl
2.314	1000	0 2 1
2.389	656	1 1 2
2.753	597	1 1 0
2.661	559	0 1 3
2.089	462	1 1 3
2.148	423	1 0 4
4.273	399	1 0 1
3.387	357	0 1 2
2.136	342	2 0 2
1.377	309	2 2 0

The following is a theoretical powder X-ray diffraction pattern of Cs2NdOs3O12. It was derived from a cell relaxed with PBE, using copper Kα.
Peak positions follow from Bragg's law for the DFT cell and can differ from measured ones.

Structure:
Unit cell a=7.3758 b=7.3758 c=19.2727 alpha=90.00 beta=90.00 gamma=120.00
Space group R-3m (No. 166, hexagonal axes)
Symmetry-distinct sites (fractional):
Cs1 0.0000 0.0000 0.1149 (multiplicity 6)
Nd1 0.0000 0.0000 0.5000 (multiplicity 3)
Os1 0.0000 0.5000 0.0000 (multiplicity 9)
O1 0.0314 0.5157 0.0967 (multiplicity 18)
O2 0.0816 0.5408 0.3407 (multiplicity 18)

Main lines, by intensity (2θ = 10–80°):
d (Å)	I (rel.)	hkl
3.198	1000	1 1 3
3.032	998	2 0 2
3.151	854	0 2 1
3.300	698	0 1 5
1.844	515	2 2 0
6.424	445	0 0 3
1.923	438	2 0 8
6.063	329	1 0 1
2.021	309	3 0 3
2.046	284	1 2 5

The following is a theoretical powder X-ray diffraction pattern of Nb2Al5Co2Cu. It was derived from a cell relaxed with PBE, using copper Kα.
Peak positions follow from Bragg's law for the DFT cell and can differ from measured ones.

Structure:
Unit cell a=8.7935 b=8.7935 c=3.7621 alpha=90.00 beta=90.00 gamma=90.00
Space group P4/mbm (No. 127)
Symmetry-distinct sites (fractional):
Nb1 0.1811 0.3189 0.0000 (multiplicity 4)
Al1 0.0000 0.5000 0.5000 (multiplicity 2)
Al2 0.0602 0.7922 0.5000 (multiplicity 8)
Co1 0.1171 0.6171 0.0000 (multiplicity 4)
Cu1 0.0000 0.0000 0.0000 (multiplicity 2)

Main lines, by intensity (2θ = 10–80°):
d (Å)	I (rel.)	hkl
2.236	1000	3 1 1
3.762	481	0 0 1
2.133	430	4 1 0
2.046	407	3 2 1
2.397	339	2 2 1
2.781	295	3 1 0
1.881	293	0 0 2
1.411	220	4 1 2
2.718	148	2 1 1
2.073	133	3 3 0

The following is a theoretical powder X-ray diffraction pattern of Tm5Ge2C. It was derived from a cell relaxed with PBE, using copper Kα.
Peak positions follow from Bragg's law for the DFT cell and can differ from measured ones.

Structure:
Unit cell a=5.4884 b=11.6904 c=12.9572 alpha=90.00 beta=90.00 gamma=90.00
Space group Cmcm (No. 63)
Symmetry-distinct sites (fractional):
Tm1 0.0000 0.0571 0.1236 (multiplicity 8)
Tm2 0.0000 0.3012 0.7500 (multiplicity 4)
Tm3 0.0000 0.3416 0.1105 (multiplicity 8)
Ge1 0.0000 0.1776 0.5665 (multiplicity 8)
C1 0.0000 0.2028 0.2500 (multiplicity 4)

Main lines, by intensity (2θ = 10–80°):
d (Å)	I (rel.)	hkl
2.744	1000	2 0 0
2.421	832	0 4 3
3.260	766	1 1 3
1.815	701	2 4 3
3.177	652	1 3 0
3.086	635	1 3 1
2.298	466	1 1 5
3.474	399	0 2 3
3.239	363	0 0 4
2.852	296	0 4 1

The following is a theoretical powder X-ray diffraction pattern of TbSm3Pb3. It was derived from a cell relaxed with PBE, using copper Kα.
Peak positions follow from Bragg's law for the DFT cell and can differ from measured ones.

Structure:
Unit cell a=9.3432 b=9.3432 c=18.8202 alpha=90.00 beta=90.00 gamma=120.00
Space group R-3 (No. 148, hexagonal axes)
Symmetry-distinct sites (fractional):
Tb1 0.0000 0.0000 0.1684 (multiplicity 6)
Sm1 0.0055 0.7447 0.5888 (multiplicity 18)
Pb1 0.0006 0.6112 0.4223 (multiplicity 18)

Main lines, by intensity (2θ = 10–80°):
d (Å)	I (rel.)	hkl
2.604	1000	2 -1 6
2.697	849	3 0 0
2.909	807	3 -2 2
3.137	568	0 0 6
2.564	506	2 1 4
3.019	488	3 -1 1
4.672	461	1 1 0
3.747	289	2 -1 3
2.045	252	0 3 6
1.510	233	6 -2 2

The following is a theoretical powder X-ray diffraction pattern of K5Cd5Ag2. It was derived from a cell relaxed with PBE, using copper Kα.
Peak positions follow from Bragg's law for the DFT cell and can differ from measured ones.

Structure:
Unit cell a=5.4554 b=9.1268 c=9.1346 alpha=73.36 beta=72.66 gamma=72.67
Space group P-1 (No. 2)
Symmetry-distinct sites (fractional):
K1 0.0000 0.0000 0.0000 (multiplicity 1)
K2 0.1498 0.5389 0.1612 (multiplicity 2)
K3 0.1534 0.1613 0.5319 (multiplicity 2)
Cd1 0.2568 0.7410 0.7439 (multiplicity 2)
Cd2 0.4963 0.7995 0.2076 (multiplicity 2)
Cd3 0.5000 0.5000 0.5000 (multiplicity 1)
Ag1 0.3504 0.1536 0.1442 (multiplicity 2)

Main lines, by intensity (2θ = 10–80°):
d (Å)	I (rel.)	hkl
2.727	1000	2 1 1
2.789	866	1 2 3
5.063	758	1 1 1
2.937	738	1 3 1
2.836	490	0 3 0
2.260	453	1 1 4
3.026	424	1 -1 2
4.254	354	0 2 0
5.454	334	0 1 -1
1.966	330	2 -2 1

The following is a theoretical powder X-ray diffraction pattern of ReHg3C. It was derived from a cell relaxed with PBE, using copper Kα.
Peak positions follow from Bragg's law for the DFT cell and can differ from measured ones.

Structure:
Unit cell a=4.6171 b=4.6171 c=4.6171 alpha=90.00 beta=90.00 gamma=90.00
Space group Pm-3m (No. 221)
Symmetry-distinct sites (fractional):
Re1 0.0000 0.0000 0.0000 (multiplicity 1)
Hg1 0.0000 0.5000 0.5000 (multiplicity 3)
C1 0.5000 0.5000 0.5000 (multiplicity 1)

Main lines, by intensity (2θ = 10–80°):
d (Å)	I (rel.)	hkl
2.666	1000	1 1 1
2.309	532	2 0 0
1.392	420	3 1 1
1.632	368	2 2 0
1.333	126	2 2 2

The following is a theoretical powder X-ray diffraction pattern of Th2TlRuAu. It was derived from a cell relaxed with PBE, using copper Kα.
Peak positions follow from Bragg's law for the DFT cell and can differ from measured ones.

Structure:
Unit cell a=8.1201 b=4.0876 c=8.3069 alpha=90.00 beta=111.08 gamma=90.00
Space group P2_1/m (No. 11)
Symmetry-distinct sites (fractional):
Th1 0.0309 0.2500 0.2367 (multiplicity 2)
Th2 0.3548 0.7500 0.6183 (multiplicity 2)
Tl1 0.3389 0.2500 0.9701 (multiplicity 2)
Ru1 0.1174 0.2500 0.6230 (multiplicity 2)
Au1 0.3107 0.7500 0.2289 (multiplicity 2)

Main lines, by intensity (2θ = 10–80°):
d (Å)	I (rel.)	hkl
2.867	1000	2 1 -1
2.437	448	1 1 2
2.607	442	2 1 -2
2.768	376	1 0 -3
3.069	366	1 1 1
2.526	361	3 0 0
2.044	352	0 2 0
2.292	308	1 1 -3
3.036	284	1 0 2
2.779	243	2 1 0

The following is a theoretical powder X-ray diffraction pattern of Ho2SnAu4. It was derived from a cell relaxed with PBE, using copper Kα.
Peak positions follow from Bragg's law for the DFT cell and can differ from measured ones.

Structure:
Unit cell a=4.8842 b=4.8842 c=23.8826 alpha=90.00 beta=90.00 gamma=120.00
Space group R-3m (No. 166, hexagonal axes)
Symmetry-distinct sites (fractional):
Ho1 0.0000 0.0000 0.2503 (multiplicity 6)
Sn1 0.0000 0.0000 0.5000 (multiplicity 3)
Au1 0.0000 0.0000 0.1203 (multiplicity 6)
Au2 0.0000 0.0000 0.3716 (multiplicity 6)

Main lines, by intensity (2θ = 10–80°):
d (Å)	I (rel.)	hkl
2.441	1000	1 1 0
1.410	274	3 0 0
1.726	175	2 0 8
3.451	94	1 0 4
1.408	83	1 0 16
3.985	66	0 0 6
1.221	59	2 2 0
1.220	53	0 2 16
1.544	35	2 1 4
2.081	34	1 1 6